# Li2CrFeO4
Theoretical X-ray diffraction stick pattern, a wavelength of 1.5418 Å. Input: a crystal structure in the Materials Project, relaxed with GGA+U.
No peak broadening, texture or thermal motion is included.

Crystal structure
```
data_Li2CrFeO4
_chemical_formula_sum 'Li4 Cr2 Fe2 O8'
_space_group_name_H-M_alt 'I -4 m 2'
_space_group_IT_number 119
_space_group_name_Hall 'I -4 -2'
_cell_length_a 4.0802
_cell_length_b 4.0802
_cell_length_c 8.8451
_cell_angle_alpha 90.00
_cell_angle_beta 90.00
_cell_angle_gamma 90.00
loop_
_atom_site_label
_atom_site_fract_x
_atom_site_fract_y
_atom_site_fract_z
_atom_site_occupancy
Li1 0.0000 0.0000 0.0000 1
Li2 0.0000 0.5000 0.2500 1
Cr1 0.0000 0.5000 0.7500 1
Fe1 0.0000 0.0000 0.5000 1
O1 0.0000 0.0000 0.2693 1
O2 0.0000 0.5000 0.5213 1
```

Most intense lines, 2θ = 10–80°, low angle first:
Position (°2θ)  I/Imax  index
24.02  100  1 0 1
37.21  17  1 1 2
40.81  30  0 0 4
44.41  49  2 0 0
51.11  22  2 1 1
61.88  28  2 0 4

***

# Li5W2O7
Theoretical X-ray diffraction stick pattern, a wavelength of 1.5418 Å. Input: a crystal structure in the Materials Project, relaxed with GGA+U.
No peak broadening, texture or thermal motion is included.

Crystal structure
```
data_Li5W2O7
_chemical_formula_sum 'Li10 W4 O14'
_space_group_name_H-M_alt 'P -1'
_space_group_IT_number 2
_cell_length_a 5.4546
_cell_length_b 6.2995
_cell_length_c 9.4351
_cell_angle_alpha 72.17
_cell_angle_beta 79.23
_cell_angle_gamma 67.76
loop_
_space_group_symop_operation_xyz
'x,y,z'
'-x,-y,-z'
loop_
_atom_site_label
_atom_site_fract_x
_atom_site_fract_y
_atom_site_fract_z
_atom_site_occupancy
Li1 0.0044 0.2951 0.0053 1
Li2 0.1377 0.6293 0.7001 1
Li3 0.2694 0.9549 0.4325 1
Li4 0.2704 0.4432 0.4369 1
Li5 0.4293 0.3508 0.1399 1
W1 0.1536 0.0989 0.7027 1
W2 0.4347 0.8098 0.1435 1
O1 0.0075 0.2455 0.5074 1
O2 0.1186 0.0809 0.2180 1
O3 0.1449 0.6463 0.2093 1
O4 0.2955 0.4562 0.9288 1
O5 0.3200 0.9840 0.9152 1
O6 0.3913 0.3012 0.6519 1
O7 0.4111 0.8286 0.6516 1
```

Most intense lines, 2θ = 10–80°, low angle first:
Position (°2θ)  I/Imax  index
15.73  96  0 1 0
16.28  100  0 1 1
20.69  65  0 1 -1
20.93  57  1 0 -1
23.36  67  1 1 2
38.96  64  2 2 0

***

# FeO2
Theoretical X-ray diffraction stick pattern, a wavelength of 1.5418 Å. Input: a crystal structure in the Materials Project, relaxed with GGA+U.
No peak broadening, texture or thermal motion is included.

Crystal structure
```
data_FeO2
_chemical_formula_sum 'Fe24 O48'
_space_group_name_H-M_alt 'C 1 m 1'
_space_group_IT_number 8
_cell_length_a 10.3666
_cell_length_b 6.0068
_cell_length_c 14.4001
_cell_angle_alpha 90.00
_cell_angle_beta 90.39
_cell_angle_gamma 90.00
loop_
_space_group_symop_operation_xyz
'x,y,z'
'x,-y,z'
'x+1/2,y+1/2,z'
'x+1/2,-y+1/2,z'
loop_
_atom_site_label
_atom_site_fract_x
_atom_site_fract_y
_atom_site_fract_z
_atom_site_occupancy
Fe1 0.0000 0.0000 0.0000 1
Fe2 0.0011 0.0000 0.6204 1
Fe3 0.0848 0.2588 0.8333 1
Fe4 0.1649 0.0000 0.1664 1
Fe5 0.2482 0.2499 0.5003 1
Fe6 0.3269 0.5000 0.8340 1
Fe7 0.3292 0.0000 0.3329 1
Fe8 0.4153 0.2494 0.1664 1
Fe9 0.4992 0.0000 0.5000 1
O1 0.9999 0.0000 0.7542 1
O2 0.0032 0.0000 0.2341 1
O3 0.0122 0.5000 0.7715 1
O4 0.0780 0.2155 0.0873 1
O5 0.0827 0.2470 0.5684 1
O6 0.1385 0.0000 0.9106 1
O7 0.1637 0.5000 0.9102 1
O8 0.1670 0.5000 0.4349 1
O9 0.1878 0.0000 0.4133 1
O10 0.2407 0.2697 0.7727 1
O11 0.2542 0.2126 0.2476 1
O12 0.3275 0.0000 0.0987 1
O13 0.3311 0.0000 0.5678 1
O14 0.3342 0.5000 0.5687 1
O15 0.3571 0.5000 0.0836 1
O16 0.4003 0.2108 0.4126 1
O17 0.4294 0.2905 0.9097 1
O18 0.4732 0.0000 0.2495 1
```

Most intense lines, 2θ = 10–80°, low angle first:
Position (°2θ)  I/Imax  index
18.13  100  1 1 -1
18.23  41  2 0 1
18.48  86  0 0 3
35.12  48  4 0 -1
42.86  40  4 0 -4
43.00  78  2 2 4

***

# Ba3LaInW2O12
Theoretical X-ray diffraction stick pattern, a wavelength of 1.5418 Å. Input: a crystal structure in the Materials Project, relaxed with GGA+U.
No peak broadening, texture or thermal motion is included.

Crystal structure
```
data_Ba3LaInW2O12
_chemical_formula_sum 'Ba9 La3 In3 W6 O36'
_space_group_name_H-M_alt 'R 3 m'
_space_group_IT_number 160
_space_group_name_Hall 'R 3 -2"'
_cell_length_a 5.8139
_cell_length_b 5.8139
_cell_length_c 27.9614
_cell_angle_alpha 90.00
_cell_angle_beta 90.00
_cell_angle_gamma 120.00
loop_
_atom_site_label
_atom_site_fract_x
_atom_site_fract_y
_atom_site_fract_z
_atom_site_occupancy
Ba1 0.0000 0.0000 0.0000 1
Ba2 0.0000 0.0000 0.1568 1
Ba3 0.0000 0.0000 0.5779 1
La1 0.0000 0.0000 0.4297 1
In1 0.0000 0.0000 0.2887 1
W1 0.0000 0.0000 0.7112 1
W2 0.0000 0.0000 0.8649 1
O1 0.0098 0.5049 0.4121 1
O2 0.0164 0.5082 0.5751 1
O3 0.1700 0.3399 0.4957 1
O4 0.1730 0.3460 0.3339 1
```

Most intense lines, 2θ = 10–80°, low angle first:
Position (°2θ)  I/Imax  index
28.52  100  1 0 7
30.76  85  1 1 0
42.44  52  0 2 7
49.07  20  0 1 14
53.32  35  2 1 7
68.05  17  1 2 14

***

Please write out number 3 again, unchanged.
# FeO2
Theoretical X-ray diffraction stick pattern, a wavelength of 1.5418 Å. Input: a crystal structure in the Materials Project, relaxed with GGA+U.
No peak broadening, texture or thermal motion is included.

Crystal structure
```
data_FeO2
_chemical_formula_sum 'Fe24 O48'
_space_group_name_H-M_alt 'C 1 m 1'
_space_group_IT_number 8
_cell_length_a 10.3666
_cell_length_b 6.0068
_cell_length_c 14.4001
_cell_angle_alpha 90.00
_cell_angle_beta 90.39
_cell_angle_gamma 90.00
loop_
_space_group_symop_operation_xyz
'x,y,z'
'x,-y,z'
'x+1/2,y+1/2,z'
'x+1/2,-y+1/2,z'
loop_
_atom_site_label
_atom_site_fract_x
_atom_site_fract_y
_atom_site_fract_z
_atom_site_occupancy
Fe1 0.0000 0.0000 0.0000 1
Fe2 0.0011 0.0000 0.6204 1
Fe3 0.0848 0.2588 0.8333 1
Fe4 0.1649 0.0000 0.1664 1
Fe5 0.2482 0.2499 0.5003 1
Fe6 0.3269 0.5000 0.8340 1
Fe7 0.3292 0.0000 0.3329 1
Fe8 0.4153 0.2494 0.1664 1
Fe9 0.4992 0.0000 0.5000 1
O1 0.9999 0.0000 0.7542 1
O2 0.0032 0.0000 0.2341 1
O3 0.0122 0.5000 0.7715 1
O4 0.0780 0.2155 0.0873 1
O5 0.0827 0.2470 0.5684 1
O6 0.1385 0.0000 0.9106 1
O7 0.1637 0.5000 0.9102 1
O8 0.1670 0.5000 0.4349 1
O9 0.1878 0.0000 0.4133 1
O10 0.2407 0.2697 0.7727 1
O11 0.2542 0.2126 0.2476 1
O12 0.3275 0.0000 0.0987 1
O13 0.3311 0.0000 0.5678 1
O14 0.3342 0.5000 0.5687 1
O15 0.3571 0.5000 0.0836 1
O16 0.4003 0.2108 0.4126 1
O17 0.4294 0.2905 0.9097 1
O18 0.4732 0.0000 0.2495 1
```

Most intense lines, 2θ = 10–80°, low angle first:
Position (°2θ)  I/Imax  index
18.13  100  1 1 -1
18.23  41  2 0 1
18.48  86  0 0 3
35.12  48  4 0 -1
42.86  40  4 0 -4
43.00  78  2 2 4

***

Please write out number 2 again, unchanged.
# Li5W2O7
Theoretical X-ray diffraction stick pattern, a wavelength of 1.5418 Å. Input: a crystal structure in the Materials Project, relaxed with GGA+U.
No peak broadening, texture or thermal motion is included.

Crystal structure
```
data_Li5W2O7
_chemical_formula_sum 'Li10 W4 O14'
_space_group_name_H-M_alt 'P -1'
_space_group_IT_number 2
_cell_length_a 5.4546
_cell_length_b 6.2995
_cell_length_c 9.4351
_cell_angle_alpha 72.17
_cell_angle_beta 79.23
_cell_angle_gamma 67.76
loop_
_space_group_symop_operation_xyz
'x,y,z'
'-x,-y,-z'
loop_
_atom_site_label
_atom_site_fract_x
_atom_site_fract_y
_atom_site_fract_z
_atom_site_occupancy
Li1 0.0044 0.2951 0.0053 1
Li2 0.1377 0.6293 0.7001 1
Li3 0.2694 0.9549 0.4325 1
Li4 0.2704 0.4432 0.4369 1
Li5 0.4293 0.3508 0.1399 1
W1 0.1536 0.0989 0.7027 1
W2 0.4347 0.8098 0.1435 1
O1 0.0075 0.2455 0.5074 1
O2 0.1186 0.0809 0.2180 1
O3 0.1449 0.6463 0.2093 1
O4 0.2955 0.4562 0.9288 1
O5 0.3200 0.9840 0.9152 1
O6 0.3913 0.3012 0.6519 1
O7 0.4111 0.8286 0.6516 1
```

Most intense lines, 2θ = 10–80°, low angle first:
Position (°2θ)  I/Imax  index
15.73  96  0 1 0
16.28  100  0 1 1
20.69  65  0 1 -1
20.93  57  1 0 -1
23.36  67  1 1 2
38.96  64  2 2 0